[1]
Structure and computed powder diffraction line list of ErSiNO (a GGA-PBE-relaxed structure; Cu Kα, 1.54184 Å).

Principal peaks in the range 2θ from 10° to 80°, by angle:
2θ 12.7, d 6.990, I = 48
2θ 18.7, d 4.757, I = 38
2θ 25.5, d 3.495, I = 25
2θ 26.2, d 3.403, I = 100
2θ 29.0, d 3.078, I = 30
2θ 33.2, d 2.701, I = 87
2θ 34.5, d 2.602, I = 66
2θ 36.9, d 2.435, I = 51
2θ 43.8, d 2.068, I = 27
2θ 57.8, d 1.594, I = 25

Structural model:
```
ErSiNO
1.0
6.4934 0.0000 0.0000
0.0000 6.9900 0.0000
0.0000 0.0000 4.8701
Er Si N O
4 4 4 4
Cartesian
0.5477 1.1833 0.0000 Er
2.6990 1.1833 2.4351 Er
3.7944 5.8067 0.0000 Er
5.9457 5.8067 2.4351 Er
0.9319 4.8228 0.0046 Si
2.3148 4.8228 2.4397 Si
4.1786 2.1672 0.0046 Si
5.5615 2.1672 2.4397 Si
0.4088 1.0284 2.4460 N
2.8379 1.0284 0.0109 N
3.6555 5.9616 2.4460 N
6.0846 5.9616 0.0109 N
0.6291 3.2531 0.0869 O
2.6176 3.2531 2.5219 O
3.8758 3.7369 0.0869 O
5.8643 3.7369 2.5219 O
```

[2]
Structure and computed powder diffraction line list of SrErNO (a GGA-PBE-relaxed structure; Cu Kα, 1.54184 Å).

Principal peaks in the range 2θ from 10° to 80°, by angle:
2θ 10.7, d 8.245, I = 33
2θ 25.0, d 3.563, I = 50
2θ 30.8, d 2.899, I = 100
2θ 31.0, d 2.887, I = 55
2θ 36.0, d 2.494, I = 37
2θ 44.2, d 2.048, I = 40
2θ 44.4, d 2.042, I = 30
2θ 54.7, d 1.678, I = 23
2θ 58.3, d 1.583, I = 34
2θ 61.6, d 1.506, I = 23

Structural model:
```
SrErNO
1.0
7.0801 0.0000 0.0000
0.0000 8.2448 0.0000
0.0000 0.0000 4.9877
Sr Er N O
4 4 4 4
Cartesian
0.5963 1.0939 0.0000 Sr
2.9437 1.0939 2.4938 Sr
4.1364 7.1509 0.0000 Sr
6.4838 7.1509 2.4938 Sr
0.6193 5.0781 4.9654 Er
2.9208 5.0781 2.4716 Er
4.1593 3.1667 4.9654 Er
6.4609 3.1667 2.4716 Er
0.6668 5.0137 2.5534 N
2.8732 5.0137 0.0596 N
4.2069 3.2311 2.5534 N
6.4133 3.2311 0.0596 N
0.4467 1.1883 2.5056 O
3.0934 1.1883 0.0117 O
3.9867 7.0564 2.5056 O
6.6335 7.0564 0.0117 O
```

[3]
Structure and computed powder diffraction line list of ErTaN2O (a GGA-PBE-relaxed structure; Cu Kα, 1.54184 Å).

Principal peaks in the range 2θ from 10° to 80°, by angle:
2θ 31.4, d 2.848, I = 22
2θ 32.2, d 2.782, I = 100
2θ 32.8, d 2.728, I = 24
2θ 46.1, d 1.970, I = 18
2θ 46.2, d 1.964, I = 12
2θ 56.4, d 1.631, I = 12
2θ 57.0, d 1.617, I = 9
2θ 57.8, d 1.594, I = 11
2θ 58.2, d 1.585, I = 20
2θ 67.3, d 1.391, I = 10

Structural model:
```
ErTaN2O
1.0
5.4567 0.0000 0.0000
0.0017 9.7023 0.0000
0.0002 3.0169 9.2232
Er Ta N O
8 8 16 8
Cartesian
0.0000 0.0000 0.0000 Er
0.0025 6.3499 4.5759 Er
2.5004 7.9985 2.3753 Er
2.5533 4.5885 6.9553 Er
2.6997 10.7610 5.2237 Er
2.7562 4.3844 0.6137 Er
5.2395 9.1137 7.4626 Er
5.2723 2.7772 2.8174 Er
0.0060 6.0963 8.3456 Ta
0.0044 6.1213 1.4338 Ta
2.5277 10.9654 8.4119 Ta
2.6824 7.5967 6.1570 Ta
2.7196 4.5496 3.8216 Ta
2.7247 1.3172 1.3700 Ta
5.2334 9.4593 3.8231 Ta
5.4072 2.9131 5.9220 Ta
0.4695 11.0809 4.7012 N
0.4929 4.7162 0.1075 N
0.9193 4.2428 4.9170 N
0.9179 6.6524 6.6618 N
0.9334 7.5675 0.3007 N
1.4899 4.9378 9.0241 N
1.4978 2.5136 7.2352 N
1.5156 5.8905 2.6087 N
3.2026 5.9941 5.0653 N
3.2156 9.2913 0.4543 N
3.6396 3.1177 4.8844 N
3.6392 10.3902 3.1043 N
3.6602 7.0521 7.7253 N
4.2192 8.7374 5.3807 N
4.2230 4.8292 2.5167 N
4.2414 2.3485 0.7718 N
0.9269 9.9151 2.0718 O
1.4620 8.2975 4.3278 O
1.9333 9.4083 6.9666 O
1.9545 3.0408 2.3759 O
3.6659 6.4290 0.1393 O
4.1976 11.0896 7.1413 O
4.6685 7.6394 2.7420 O
4.6754 4.2268 7.4055 O
```

[4]
Structure and computed powder diffraction line list of TbErNO (a GGA-PBE-relaxed structure; Cu Kα, 1.54184 Å).

Principal peaks in the range 2θ from 10° to 80°, by angle:
2θ 26.0, d 3.428, I = 35
2θ 27.0, d 3.302, I = 23
2θ 31.9, d 2.807, I = 100
2θ 32.7, d 2.737, I = 39
2θ 36.7, d 2.447, I = 32
2θ 45.2, d 2.005, I = 17
2θ 47.1, d 1.930, I = 30
2θ 56.9, d 1.618, I = 17
2θ 59.6, d 1.551, I = 15
2θ 61.2, d 1.515, I = 27

Structural model:
```
TbErNO
1.0
8.0202 0.0000 0.0000
0.0000 6.6044 0.0000
0.0000 0.0000 4.8933
Tb Er N O
4 4 4 4
Cartesian
0.9879 0.4549 1.2233 Tb
0.9879 2.8474 3.6700 Tb
7.0323 3.7571 1.2233 Tb
7.0323 6.1496 3.6700 Tb
3.0050 3.8588 1.2233 Er
3.0050 6.0478 3.6700 Er
5.0152 0.5566 1.2233 Er
5.0152 2.7456 3.6700 Er
3.0331 3.7846 3.6700 N
3.0331 6.1220 1.2233 N
4.9871 0.4824 3.6700 N
4.9871 2.8198 1.2233 N
1.1009 0.6069 3.6700 O
1.1009 2.6953 1.2233 O
6.9193 3.9092 3.6700 O
6.9193 5.9975 1.2233 O
```

[5]
Structure and computed powder diffraction line list of ErZrNO (a GGA-PBE-relaxed structure; Cu Kα, 1.54184 Å).

Principal peaks in the range 2θ from 10° to 80°, by angle:
2θ 11.3, d 7.852, I = 17
2θ 26.5, d 3.362, I = 32
2θ 27.4, d 3.256, I = 29
2θ 32.8, d 2.727, I = 100
2θ 33.6, d 2.669, I = 31
2θ 38.6, d 2.330, I = 31
2θ 46.2, d 1.963, I = 18
2θ 47.9, d 1.899, I = 28
2θ 61.8, d 1.501, I = 15
2θ 63.2, d 1.472, I = 23

Structural model:
```
ErZrNO
1.0
7.8525 0.0000 0.0000
0.0000 6.5112 0.0000
0.0000 0.0000 4.6595
Er Zr N O
4 4 4 4
Cartesian
0.9750 0.3704 1.1649 Er
0.9750 2.8851 3.4946 Er
6.8775 3.6260 1.1649 Er
6.8775 6.1407 3.4946 Er
2.9396 3.8609 1.1649 Zr
2.9396 5.9059 3.4946 Zr
4.9129 0.6053 1.1649 Zr
4.9129 2.6503 3.4946 Zr
3.0564 3.7253 3.4946 N
3.0564 6.0415 1.1649 N
4.7961 0.4697 3.4946 N
4.7961 2.7859 1.1649 N
1.1138 0.6413 3.4946 O
1.1138 2.6143 1.1649 O
6.7387 3.8969 3.4946 O
6.7387 5.8699 1.1649 O
```

[6]
Structure and computed powder diffraction line list of Er3P2N (a GGA-PBE-relaxed structure; Cu Kα, 1.54184 Å).

Principal peaks in the range 2θ from 10° to 80°, by angle:
2θ 28.4, d 3.139, I = 24
2θ 29.1, d 3.068, I = 81
2θ 33.5, d 2.672, I = 100
2θ 47.7, d 1.906, I = 33
2θ 48.6, d 1.874, I = 36
2θ 57.3, d 1.609, I = 21
2θ 57.6, d 1.599, I = 13
2θ 60.3, d 1.534, I = 18
2θ 70.5, d 1.336, I = 10
2θ 78.7, d 1.216, I = 10

Structural model:
```
Er3P2N
1.0
3.7475 0.0000 0.0000
-1.8737 3.2454 0.0000
0.0000 0.0000 9.4179
Er P N
3 2 1
Cartesian
0.0000 0.0000 0.0000 Er
0.0000 2.1636 6.0321 Er
1.8737 1.0818 3.3857 Er
0.0000 2.1636 1.6830 P
1.8737 1.0818 7.7349 P
0.0000 0.0000 4.7089 N
```

[7]
Structure and computed powder diffraction line list of Er2PaN4 (a GGA-PBE-relaxed structure; Cu Kα, 1.54184 Å).

Principal peaks in the range 2θ from 10° to 80°, by angle:
2θ 30.8, d 2.907, I = 34
2θ 31.0, d 2.887, I = 100
2θ 31.3, d 2.854, I = 50
2θ 31.8, d 2.810, I = 93
2θ 41.2, d 2.189, I = 17
2θ 44.5, d 2.037, I = 44
2θ 51.6, d 1.772, I = 16
2θ 56.6, d 1.625, I = 29
2θ 57.4, d 1.604, I = 20
2θ 61.9, d 1.499, I = 29

Structural model:
```
Er2PaN4
1.0
5.8134 0.0000 0.0000
0.0000 9.6303 0.0000
0.0000 0.0000 3.5443
Er Pa N
4 2 8
Cartesian
0.3488 1.6893 0.0000 Er
2.5579 6.5044 0.0000 Er
3.2555 3.1259 0.0000 Er
5.4645 7.9410 0.0000 Er
0.0000 4.8151 1.7722 Pa
2.9067 0.0000 1.7722 Pa
0.9240 6.7901 1.7722 N
1.3979 4.4320 0.0000 N
1.5088 9.2471 0.0000 N
1.9827 1.9750 1.7722 N
3.8307 7.6553 1.7722 N
4.3045 0.3832 0.0000 N
4.4155 5.1983 0.0000 N
4.8894 2.8402 1.7722 N
```

[8]
Structure and computed powder diffraction line list of PmEr2N2 (a GGA-PBE-relaxed structure; Cu Kα, 1.54184 Å).

Principal peaks in the range 2θ from 10° to 80°, by angle:
2θ 16.9, d 5.246, I = 54
2θ 20.6, d 4.310, I = 40
2θ 28.6, d 3.116, I = 54
2θ 30.0, d 2.983, I = 48
2θ 30.9, d 2.892, I = 100
2θ 41.9, d 2.155, I = 49
2θ 42.7, d 2.120, I = 83
2θ 53.8, d 1.704, I = 24
2θ 62.1, d 1.495, I = 28
2θ 68.4, d 1.372, I = 21

Structural model:
```
PmEr2N2
1.0
0.0000 5.9662 6.2318
3.3058 0.0000 6.2318
3.3058 5.9662 0.0000
Pm Er N
2 4 4
Cartesian
0.8264 1.4916 1.5579 Pm
5.7851 10.4409 10.9056 Pm
2.4793 4.4747 1.5684 Er
4.1322 7.4578 4.6843 Er
2.4793 4.4747 7.7792 Er
4.1322 7.4578 10.8951 Er
0.0000 0.0000 0.0000 N
1.6529 2.9831 0.0000 N
1.6529 0.0000 3.1159 N
0.0000 2.9831 3.1159 N
```

[9]
Structure and computed powder diffraction line list of Er3SbN2 (a GGA-PBE-relaxed structure; Cu Kα, 1.54184 Å).

Principal peaks in the range 2θ from 10° to 80°, by angle:
2θ 30.8, d 2.901, I = 47
2θ 34.5, d 2.596, I = 100
2θ 35.6, d 2.521, I = 24
2θ 40.1, d 2.250, I = 27
2θ 52.3, d 1.749, I = 30
2θ 54.7, d 1.678, I = 12
2θ 62.0, d 1.498, I = 7
2θ 63.3, d 1.469, I = 16
2θ 64.2, d 1.450, I = 16
2θ 64.9, d 1.437, I = 26

Structural model:
```
Er3SbN2
1.0
3.4972 0.0000 0.0000
-1.7486 3.0287 0.0000
0.0000 0.0000 10.0825
Er Sb N
3 1 2
Cartesian
0.0000 0.0000 0.0000 Er
0.0000 2.0191 7.4423 Er
1.7486 1.0096 2.6403 Er
0.0000 0.0000 5.0413 Sb
0.0000 2.0191 1.4362 N
1.7486 1.0096 8.6463 N
```